Record 1
# K4Gd2C3O9F4
Simulated powder diffractogram, Cu Kα, 1.54184 Å. Input: a structure optimized by DFT (PBE).
Peak positions follow from Bragg's law for the DFT cell and can differ from measured ones.

Principal peaks in the range 2θ from 10° to 80°, by intensity:
(1 0 -2), d = 4.596 Å, I = 1000; (1 0 0), d = 6.887 Å, I = 776; (1 2 -2), d = 3.244 Å, I = 615; (1 3 1), d = 2.646 Å, I = 409; (1 4 -2), d = 2.050 Å, I = 378; (2 2 2), d = 2.296 Å, I = 337; (0 1 3), d = 3.260 Å, I = 307; (0 2 0), d = 4.578 Å, I = 285; (1 1 -3), d = 3.168 Å, I = 241; (2 0 -4), d = 2.302 Å, I = 236; (2 0 2), d = 2.653 Å, I = 225; (4 2 -2), d = 1.621 Å, I = 206

Unit cell a=7.0035 b=9.1561 c=10.6580 alpha=90.00 beta=100.88 gamma=90.00
Atoms (fractional coordinates):
K 0.0005 0.0000 0.2500
K 0.1196 0.3118 0.0624
K 0.1359 0.8175 0.5636
K 0.4984 0.3785 0.7484
K 0.5016 0.8785 0.2516
K 0.8641 0.3175 0.4364
K 0.8804 0.8118 0.9376
K 0.9995 0.5000 0.7500
Gd 0.3560 0.0037 0.8919
Gd 0.3558 0.4941 0.3948
Gd 0.6440 0.5037 0.1081
Gd 0.6442 0.9941 0.6052
C 0.0105 0.6428 0.2430
C 0.3520 0.6761 0.9379
C 0.3531 0.1779 0.4287
C 0.6469 0.6779 0.5713
C 0.6480 0.1761 0.0621
C 0.9895 0.1428 0.7570
O 0.0021 0.0003 0.7505
O 0.1268 0.2143 0.8284
O 0.1629 0.7068 0.3090
O 0.2011 0.2462 0.3696
O 0.2275 0.7513 0.8581
O 0.3473 0.5341 0.9412
O 0.3599 0.0363 0.4366
O 0.4874 0.7428 0.0182
O 0.4955 0.7542 0.5183
O 0.5045 0.2542 0.4817
O 0.5126 0.2428 0.9818
O 0.6401 0.5363 0.5634
O 0.6527 0.0341 0.0588
O 0.7725 0.2513 0.1419
O 0.7989 0.7462 0.6304
O 0.8371 0.2068 0.6910
O 0.8732 0.7143 0.1716
O 0.9979 0.5003 0.2495
F 0.1921 0.5003 0.5564
F 0.1970 0.0033 0.0561
F 0.4092 0.1078 0.7023
F 0.4278 0.3820 0.2125
F 0.5722 0.8820 0.7875
F 0.5908 0.6078 0.2977
F 0.8030 0.5033 0.9439
F 0.8079 0.0003 0.4436

***

Record 2
# NiPt3
Simulated powder diffractogram, Cu Kα, 1.54184 Å. Input: a structure optimized by DFT (PBE).
Peak positions follow from Bragg's law for the DFT cell and can differ from measured ones.

Principal peaks in the range 2θ from 10° to 80°, by intensity:
(1 1 1), d = 2.240 Å, I = 1000; (2 0 0), d = 1.940 Å, I = 489; (2 2 0), d = 1.371 Å, I = 317; (1 0 0), d = 3.879 Å, I = 121; (1 1 0), d = 2.743 Å, I = 102; (2 1 0), d = 1.735 Å, I = 56; (2 1 1), d = 1.584 Å, I = 42; (3 0 0), d = 1.293 Å, I = 28; (3 1 0), d = 1.227 Å, I = 19

Unit cell a=3.8790 b=3.8790 c=3.8790 alpha=90.00 beta=90.00 gamma=90.00
Atoms (fractional coordinates):
Ni 0.0000 0.0000 0.0000
Pt 0.0000 0.5000 0.5000
Pt 0.5000 0.0000 0.5000
Pt 0.5000 0.5000 0.0000

***

Record 3
# Li3Cu3P2O8
Simulated powder diffractogram, Cu Kα, 1.54184 Å. Input: a structure optimized by DFT (PBE).
Peak positions follow from Bragg's law for the DFT cell and can differ from measured ones.

Principal peaks in the range 2θ from 10° to 80°, by intensity:
(0 0 1), d = 5.483 Å, I = 1000; (0 2 1), d = 2.704 Å, I = 605; (2 0 0), d = 2.558 Å, I = 578; (1 2 0), d = 2.656 Å, I = 471; (1 2 -1), d = 2.395 Å, I = 430; (0 0 2), d = 2.741 Å, I = 321; (0 2 3), d = 1.575 Å, I = 313; (1 2 1), d = 2.386 Å, I = 312; (0 1 0), d = 6.217 Å, I = 276; (2 0 2), d = 1.862 Å, I = 238; (0 2 2), d = 2.056 Å, I = 186; (1 0 -2), d = 2.425 Å, I = 180

Unit cell a=5.1157 b=6.2165 c=5.4828 alpha=90.00 beta=90.52 gamma=90.00
Atoms (fractional coordinates):
Li 0.0000 0.0000 0.0000
Li 0.5028 0.2497 0.8282
Li 0.5028 0.7503 0.8282
Cu 0.5125 0.5000 0.3368
Cu 0.9971 0.2622 0.4963
Cu 0.9971 0.7378 0.4963
P 0.4935 0.0000 0.3197
P 0.9985 0.5000 0.9704
O 0.0960 0.5000 0.2398
O 0.1108 0.2907 0.8503
O 0.1108 0.7093 0.8503
O 0.1903 0.0000 0.3083
O 0.5880 0.2009 0.4696
O 0.5880 0.7991 0.4696
O 0.6070 0.0000 0.0566
O 0.6945 0.5000 0.9560